(1)
DyPaOs: computed powder diffractogram (Cu Kα, 1.54184 Å), based on a DFT-relaxed cell (GGA-PBE, Alexandria).

```
data_DyPaOs
_cell_length_a 4.1843
_cell_length_b 4.1843
_cell_length_c 15.6451
_cell_angle_alpha 90.00
_cell_angle_beta 90.00
_cell_angle_gamma 120.00
_space_group_name_H-M_alt 'R 3 m'
_space_group_IT_number 160
_space_group_name_Hall 'R 3 -2"'
loop_
_atom_site_label
_atom_site_fract_x
_atom_site_fract_y
_atom_site_fract_z
_atom_site_occupancy
Dy1 0.0000 0.0000 0.0000 1
Pa1 0.0000 0.0000 0.5077 1
Os1 0.0000 0.0000 0.7688 1
```

Principal peaks in the range 2θ = 10–90°, low angle first:
- 2θ 17.0, 5.215 Å, I 20
- 2θ 25.2, 3.530 Å, I 27
- 2θ 27.1, 3.288 Å, I 23
- 2θ 33.7, 2.658 Å, I 100
- 2θ 38.0, 2.368 Å, I 10
- 2θ 43.2, 2.092 Å, I 53
- 2θ 53.2, 1.721 Å, I 25
- 2θ 55.9, 1.644 Å, I 24
- 2θ 70.9, 1.329 Å, I 11
- 2θ 73.2, 1.293 Å, I 22
- 2θ 86.8, 1.122 Å, I 13
- 2θ 88.3, 1.106 Å, I 11



(2)
DyPaTcOs: computed powder diffractogram (Cu Kα, 1.54184 Å), based on a DFT-relaxed cell (GGA-PBE, Alexandria).

```
data_DyPaTcOs
_cell_length_a 6.8689
_cell_length_b 6.8689
_cell_length_c 6.8689
_cell_angle_alpha 90.00
_cell_angle_beta 90.00
_cell_angle_gamma 90.00
_space_group_name_H-M_alt 'F -4 3 m'
_space_group_IT_number 216
_space_group_name_Hall 'F -4 2 3'
loop_
_atom_site_label
_atom_site_fract_x
_atom_site_fract_y
_atom_site_fract_z
_atom_site_occupancy
Dy1 0.0000 0.0000 0.0000 1
Pa1 0.0000 0.0000 0.5000 1
Tc1 0.2500 0.2500 0.7500 1
Os1 0.2500 0.2500 0.2500 1
```

Principal peaks in the range 2θ = 10–90°, low angle first:
- 2θ 22.4, 3.966 Å, I 6
- 2θ 25.9, 3.434 Å, I 3
- 2θ 37.0, 2.429 Å, I 100
- 2θ 43.7, 2.071 Å, I 3
- 2θ 45.8, 1.983 Å, I 1
- 2θ 53.4, 1.717 Å, I 18
- 2θ 58.6, 1.576 Å, I 1
- 2θ 60.3, 1.536 Å, I 1
- 2θ 66.7, 1.402 Å, I 36
- 2θ 71.3, 1.322 Å, I 1
- 2θ 78.8, 1.214 Å, I 11
- 2θ 83.2, 1.161 Å, I 1



(3)
PrDy2Os: computed powder diffractogram (Cu Kα, 1.54184 Å), based on a DFT-relaxed cell (GGA-PBE, Alexandria).

```
data_PrDy2Os
_cell_length_a 7.4802
_cell_length_b 9.1744
_cell_length_c 6.4576
_cell_angle_alpha 90.00
_cell_angle_beta 90.00
_cell_angle_gamma 90.00
_space_group_name_H-M_alt 'P n m a'
_space_group_IT_number 62
loop_
_space_group_symop_operation_xyz
'x,y,z'
'-x,-y,-z'
'-x+1/2,-y,z+1/2'
'x+1/2,y,-z+1/2'
'x+1/2,-y+1/2,-z+1/2'
'-x+1/2,y+1/2,z+1/2'
'-x,y+1/2,-z'
'x,-y+1/2,z'
loop_
_atom_site_label
_atom_site_fract_x
_atom_site_fract_y
_atom_site_fract_z
_atom_site_occupancy
Pr1 0.0399 0.2500 0.1300 1
Dy1 0.1741 0.0651 0.6645 1
Os1 0.1154 0.7500 0.4459 1
```

Principal peaks in the range 2θ = 10–90°, low angle first:
- 2θ 29.3, 3.052 Å, I 32
- 2θ 30.1, 2.964 Å, I 30
- 2θ 30.8, 2.899 Å, I 49
- 2θ 31.7, 2.821 Å, I 92
- 2θ 32.4, 2.764 Å, I 52
- 2θ 33.9, 2.643 Å, I 100
- 2θ 34.6, 2.593 Å, I 74
- 2θ 36.1, 2.490 Å, I 39
- 2θ 38.0, 2.365 Å, I 78
- 2θ 38.7, 2.326 Å, I 39
- 2θ 40.0, 2.255 Å, I 31
- 2θ 48.3, 1.886 Å, I 29